# 1
Diffraction record for Ba3LiTi3O8. The X-ray diffraction stick pattern is simulated, not measured: it uses the GGA-PBE geometry in the Materials Project and Cu Kα (weighted mean of Kα1 and Kα2).
Peak positions follow from Bragg's law for the DFT cell and can differ from measured ones.

Atomic structure:
Cell: 5.6044 6.3781 7.4672 Å, 77.08 88.53 64.97°
Fractional coordinates of all 15 atoms:
Ba: 0.0000 0.0000 0.0000
Ba: 0.2810 0.4404 0.7222
Ba: 0.6126 0.7914 0.3860
Li: 0.8243 0.3897 0.1713
Ti: 0.3206 0.4105 0.2252
Ti: 0.6039 0.7736 0.8565
Ti: 0.9617 0.0930 0.5327
O: 0.1537 0.2038 0.3241
O: 0.1832 0.6540 0.3375
O: 0.3136 0.8735 0.6725
O: 0.4886 0.5407 0.0149
O: 0.5084 0.9970 0.9880
O: 0.6807 0.1891 0.3298
O: 0.8326 0.8572 0.6842
O: 0.8367 0.3329 0.6510

Top 10 peaks for 2θ = 5–70°, most intense first:
two_theta  I/Imax
31.95  100
28.34  100
28.51  97
29.01  97
32.37  84
29.14  84
45.26  63
46.99  48
36.69  47
35.53  44

---

# 2
Diffraction record for Nb3Os. The X-ray diffraction stick pattern is simulated, not measured: it uses the GGA-PBE geometry in the Materials Project and Cu Kα (weighted mean of Kα1 and Kα2).
Peak positions follow from Bragg's law for the DFT cell and can differ from measured ones.

Atomic structure:
Cell: 6.4845 6.4845 6.4845 Å, 90.00 90.00 90.00°
Fractional coordinates of all 16 atoms:
Nb: 0.0000 0.0000 0.0000
Nb: 0.0000 0.5000 0.5000
Nb: 0.2500 0.2500 0.2500
Nb: 0.2500 0.2500 0.7500
Nb: 0.2500 0.7500 0.2500
Nb: 0.2500 0.7500 0.7500
Nb: 0.5000 0.0000 0.5000
Nb: 0.5000 0.5000 0.0000
Nb: 0.7500 0.2500 0.2500
Nb: 0.7500 0.2500 0.7500
Nb: 0.7500 0.7500 0.2500
Nb: 0.7500 0.7500 0.7500
Os: 0.0000 0.0000 0.5000
Os: 0.0000 0.5000 0.0000
Os: 0.5000 0.0000 0.0000
Os: 0.5000 0.5000 0.5000

Top 8 peaks for 2θ = 5–70°, most intense first:
two_theta  I/Imax
39.30  100
56.79  17
23.77  9
46.45  5
27.51  5
62.43  2
64.24  2
48.64  1

---

# 3
Diffraction record for VCuSnS4. The X-ray diffraction stick pattern is simulated, not measured: it uses the GGA-PBE geometry in the Materials Project and Cu Kα (weighted mean of Kα1 and Kα2).
Peak positions follow from Bragg's law for the DFT cell and can differ from measured ones.

Atomic structure:
Cell: 7.2805 7.2805 7.2805 Å, 122.36 118.94 88.90°
Fractional coordinates of all 14 atoms:
V: 0.5000 0.0000 0.0000
V: 0.5000 0.5000 0.5000
Cu: 0.1178 0.3678 0.7500
Cu: 0.8822 0.6322 0.2500
Sn: 0.0000 0.0000 0.0000
Sn: 0.5000 0.0000 0.5000
S: 0.2646 0.2690 0.5044
S: 0.2646 0.7602 0.9956
S: 0.2677 0.2497 0.0180
S: 0.2682 0.7503 0.5180
S: 0.7318 0.2497 0.4820
S: 0.7323 0.7503 0.9820
S: 0.7354 0.2398 0.0044
S: 0.7354 0.7310 0.4956

Top 10 peaks for 2θ = 5–70°, most intense first:
two_theta  I/Imax
28.60  100
50.17  92
35.25  54
28.73  52
15.23  39
46.80  39
29.45  33
34.52  28
52.12  26
24.48  25

---

# 4
Diffraction record for Pb2O3. The X-ray diffraction stick pattern is simulated, not measured: it uses the GGA-PBE geometry in the Materials Project and Cu Kα (weighted mean of Kα1 and Kα2).
Peak positions follow from Bragg's law for the DFT cell and can differ from measured ones.

Atomic structure:
Cell: 5.4207 5.4207 5.7361 Å, 90.80 90.80 101.01°
Fractional coordinates of all 10 atoms:
Pb: 0.0000 0.0000 0.0000
Pb: 0.0000 0.5000 0.5000
Pb: 0.5000 0.0000 0.5000
Pb: 0.5000 0.5000 0.0000
O: 0.2398 0.7474 0.2451
O: 0.2496 0.2496 0.3911
O: 0.2526 0.7602 0.7549
O: 0.7474 0.2398 0.2451
O: 0.7504 0.7504 0.6089
O: 0.7602 0.2526 0.7549

Top 10 peaks for 2θ = 5–70°, most intense first:
two_theta  I/Imax
26.37  100
33.69  45
29.95  42
30.55  41
31.19  30
46.15  28
46.99  27
54.32  21
43.26  18
52.64  18

---

# 5
Diffraction record for NaCa2SiO4F. The X-ray diffraction stick pattern is simulated, not measured: it uses the GGA-PBE geometry in the Materials Project and Cu Kα (weighted mean of Kα1 and Kα2).
Peak positions follow from Bragg's law for the DFT cell and can differ from measured ones.

Atomic structure:
Cell: 7.6417 7.8419 8.0978 Å, 87.87 87.30 86.82°
Fractional coordinates of all 36 atoms:
Na: 0.0000 0.0000 0.0000
Na: 0.0666 0.4695 0.4572
Na: 0.5385 0.4873 0.5106
Na: 0.6390 0.9609 0.7304
Ca: 0.1069 0.4643 0.0275
Ca: 0.2933 0.2489 0.7427
Ca: 0.3536 0.9476 0.0374
Ca: 0.4474 0.0519 0.3941
Ca: 0.5786 0.5226 0.9148
Ca: 0.7696 0.7476 0.2186
Ca: 0.9526 0.7019 0.7453
Ca: 0.9712 0.0740 0.4565
Si: 0.2524 0.7530 0.3401
Si: 0.3368 0.7477 0.7123
Si: 0.7591 0.2540 0.1912
Si: 0.8316 0.2504 0.7847
O: 0.1346 0.6357 0.2372
O: 0.1894 0.9565 0.3000
O: 0.1936 0.8155 0.8652
O: 0.2235 0.6992 0.5400
O: 0.2335 0.1980 0.0033
O: 0.3078 0.5302 0.8004
O: 0.3674 0.9693 0.6428
O: 0.4646 0.7514 0.2885
O: 0.5569 0.7011 0.6987
O: 0.6279 0.2874 0.7346
O: 0.7353 0.0641 0.2720
O: 0.8251 0.2539 0.9973
O: 0.8429 0.6184 0.9896
O: 0.8688 0.3566 0.3145
O: 0.9063 0.0594 0.7329
O: 0.9686 0.3901 0.7144
F: 0.3067 0.2965 0.4593
F: 0.5592 0.3536 0.1873
F: 0.6351 0.9064 0.9983
F: 0.8621 0.8052 0.4848

Top 10 peaks for 2θ = 5–70°, most intense first:
two_theta  I/Imax
31.26  100
31.89  100
36.58  70
25.41  60
44.84  59
37.57  57
37.86  51
28.54  48
32.39  44
35.81  41

---

# 6
Diffraction record for SnSe2O6. The X-ray diffraction stick pattern is simulated, not measured: it uses the GGA-PBE geometry in the Materials Project and Cu Kα (weighted mean of Kα1 and Kα2).
Peak positions follow from Bragg's law for the DFT cell and can differ from measured ones.

Atomic structure:
Cell: 8.3583 8.3583 8.3583 Å, 90.00 90.00 90.00°
Fractional coordinates of all 36 atoms:
Sn: 0.0000 0.0000 0.0000
Sn: 0.0000 0.5000 0.5000
Sn: 0.5000 0.0000 0.5000
Sn: 0.5000 0.5000 0.0000
Se: 0.1669 0.6669 0.8331
Se: 0.1669 0.8331 0.3331
Se: 0.3331 0.1669 0.8331
Se: 0.3331 0.3331 0.3331
Se: 0.6669 0.6669 0.6669
Se: 0.6669 0.8331 0.1669
Se: 0.8331 0.1669 0.6669
Se: 0.8331 0.3331 0.1669
O: 0.0330 0.7448 0.4654
O: 0.0330 0.7552 0.9654
O: 0.0346 0.5330 0.7448
O: 0.0346 0.9670 0.2448
O: 0.2448 0.0346 0.9670
O: 0.2448 0.4654 0.4670
O: 0.2552 0.5346 0.9670
O: 0.2552 0.9654 0.4670
O: 0.4654 0.0330 0.7448
O: 0.4654 0.4670 0.2448
O: 0.4670 0.2448 0.4654
O: 0.4670 0.2552 0.9654
O: 0.5330 0.7448 0.0346
O: 0.5330 0.7552 0.5346
O: 0.5346 0.5330 0.7552
O: 0.5346 0.9670 0.2552
O: 0.7448 0.0346 0.5330
O: 0.7448 0.4654 0.0330
O: 0.7552 0.5346 0.5330
O: 0.7552 0.9654 0.0330
O: 0.9654 0.0330 0.7552
O: 0.9654 0.4670 0.2552
O: 0.9670 0.2448 0.0346
O: 0.9670 0.2552 0.5346

Top 10 peaks for 2θ = 5–70°, most intense first:
two_theta  I/Imax
23.80  100
35.63  95
18.39  69
48.72  54
30.24  47
26.11  46
57.27  35
66.14  34
40.38  31
67.20  20

---

# 7
Diffraction record for SrH4O3. The X-ray diffraction stick pattern is simulated, not measured: it uses the GGA-PBE geometry in the Materials Project and Cu Kα (weighted mean of Kα1 and Kα2).
Peak positions follow from Bragg's law for the DFT cell and can differ from measured ones.

Atomic structure:
Cell: 3.6877 6.2305 6.7690 Å, 90.00 90.00 90.00°
Fractional coordinates of all 16 atoms:
Sr: 0.0000 0.1263 0.0000
Sr: 0.0000 0.8737 0.5000
H: 0.2096 0.3801 0.5820
H: 0.2096 0.6199 0.0820
H: 0.5000 0.2038 0.3452
H: 0.5000 0.4667 0.8574
H: 0.5000 0.5333 0.3574
H: 0.5000 0.7962 0.8452
H: 0.7904 0.3801 0.5820
H: 0.7904 0.6199 0.0820
O: 0.0000 0.2868 0.6274
O: 0.0000 0.7132 0.1274
O: 0.5000 0.0619 0.2842
O: 0.5000 0.4392 0.9993
O: 0.5000 0.5608 0.4993
O: 0.5000 0.9381 0.7842

Top 10 peaks for 2θ = 5–70°, most intense first:
two_theta  I/Imax
40.17  100
14.22  80
19.36  78
38.90  76
31.62  58
26.33  55
36.02  49
31.13  44
28.12  38
24.13  38

---

# 8
Diffraction record for ZrTaN2. The X-ray diffraction stick pattern is simulated, not measured: it uses the GGA-PBE geometry in the Materials Project and Cu Kα (weighted mean of Kα1 and Kα2).
Peak positions follow from Bragg's law for the DFT cell and can differ from measured ones.

Atomic structure:
Cell: 3.1944 3.1944 15.6055 Å, 90.00 90.00 120.00°
Fractional coordinates of all 12 atoms:
Zr: 0.0000 0.0000 0.0000
Zr: 0.3333 0.6667 0.6667
Zr: 0.6667 0.3333 0.3333
Ta: 0.0000 0.0000 0.5000
Ta: 0.3333 0.6667 0.1667
Ta: 0.6667 0.3333 0.8333
N: 0.0000 0.0000 0.2444
N: 0.0000 0.0000 0.7556
N: 0.3333 0.6667 0.4223
N: 0.3333 0.6667 0.9111
N: 0.6667 0.3333 0.0889
N: 0.6667 0.3333 0.5777

Top 10 peaks for 2θ = 5–70°, most intense first:
two_theta  I/Imax
34.42  100
39.95  74
68.98  32
57.72  24
57.84  24
17.05  17
69.11  11
32.88  10
43.72  4
52.75  4

---

# 9
Diffraction record for Ce3GeS2. The X-ray diffraction stick pattern is simulated, not measured: it uses the GGA-PBE geometry in the Materials Project and Cu Kα (weighted mean of Kα1 and Kα2).
Peak positions follow from Bragg's law for the DFT cell and can differ from measured ones.

Atomic structure:
Cell: 4.1213 5.8088 12.3094 Å, 90.00 90.00 90.00°
Fractional coordinates of all 12 atoms:
Ce: 0.0000 0.0000 0.0000
Ce: 0.0000 0.0000 0.3282
Ce: 0.0000 0.0000 0.6718
Ce: 0.5000 0.5000 0.1718
Ce: 0.5000 0.5000 0.5000
Ce: 0.5000 0.5000 0.8282
Ge: 0.0000 0.5000 0.0000
Ge: 0.5000 0.0000 0.5000
S: 0.0000 0.5000 0.3350
S: 0.0000 0.5000 0.6650
S: 0.5000 0.0000 0.1650
S: 0.5000 0.0000 0.8350

Top 10 peaks for 2θ = 5–70°, most intense first:
two_theta  I/Imax
30.76  100
44.08  61
26.56  46
54.61  13
54.78  12
43.94  12
64.07  12
52.13  11
52.24  11
30.30  2

---

# 10
Diffraction record for Na2TlSb. The X-ray diffraction stick pattern is simulated, not measured: it uses the GGA-PBE geometry in the Materials Project and Cu Kα (weighted mean of Kα1 and Kα2).
Peak positions follow from Bragg's law for the DFT cell and can differ from measured ones.

Atomic structure:
Cell: 7.6195 7.6195 7.6195 Å, 90.00 90.00 90.00°
Fractional coordinates of all 16 atoms:
Na: 0.2500 0.2500 0.2500
Na: 0.2500 0.2500 0.7500
Na: 0.2500 0.7500 0.2500
Na: 0.2500 0.7500 0.7500
Na: 0.7500 0.2500 0.2500
Na: 0.7500 0.2500 0.7500
Na: 0.7500 0.7500 0.2500
Na: 0.7500 0.7500 0.7500
Tl: 0.0000 0.0000 0.0000
Tl: 0.0000 0.5000 0.5000
Tl: 0.5000 0.0000 0.5000
Tl: 0.5000 0.5000 0.0000
Sb: 0.0000 0.0000 0.5000
Sb: 0.0000 0.5000 0.0000
Sb: 0.5000 0.0000 0.0000
Sb: 0.5000 0.5000 0.5000

Top 10 peaks for 2θ = 5–70°, most intense first:
two_theta  I/Imax
33.26  100
23.35  65
59.43  37
53.81  28
41.03  20
47.75  18
69.83  11
20.19  10
39.21  6
52.34  3

---

# 11
Diffraction record for PmI3. The X-ray diffraction stick pattern is simulated, not measured: it uses the GGA-PBE geometry in the Materials Project and Cu Kα (weighted mean of Kα1 and Kα2).
Peak positions follow from Bragg's law for the DFT cell and can differ from measured ones.

Atomic structure:
Cell: 11.4997 11.4997 4.1034 Å, 90.00 90.00 120.00°
Fractional coordinates of all 8 atoms:
Pm: 0.3333 0.6667 0.2500
Pm: 0.6667 0.3333 0.7500
I: 0.2144 0.4288 0.7500
I: 0.2144 0.7856 0.7500
I: 0.4288 0.2144 0.2500
I: 0.5712 0.7856 0.7500
I: 0.7856 0.2144 0.2500
I: 0.7856 0.5712 0.2500

Top 10 peaks for 2θ = 5–70°, most intense first:
two_theta  I/Imax
8.88  100
28.18  93
17.81  63
34.76  49
39.32  38
32.27  29
23.64  28
56.09  25
47.44  25
15.41  24

---

# 12
Diffraction record for Na4P2NO16. The X-ray diffraction stick pattern is simulated, not measured: it uses the GGA-PBE geometry in the Materials Project and Cu Kα (weighted mean of Kα1 and Kα2).
Peak positions follow from Bragg's law for the DFT cell and can differ from measured ones.

Atomic structure:
Cell: 12.1235 12.1235 16.3092 Å, 129.21 129.21 24.74°
Fractional coordinates of all 46 atoms:
Na: 0.0967 0.6084 0.4617
Na: 0.1630 0.7077 0.7610
Na: 0.2923 0.8370 0.7390
Na: 0.3916 0.9033 0.0383
Na: 0.6084 0.0967 0.9617
Na: 0.7077 0.1630 0.2610
Na: 0.8370 0.2923 0.2390
Na: 0.9033 0.3916 0.5383
P: 0.2265 0.6249 0.1370
P: 0.3751 0.7735 0.3630
P: 0.6249 0.2265 0.6370
P: 0.7735 0.3751 0.8630
N: 0.1541 0.8459 0.2500
N: 0.8459 0.1541 0.7500
O: 0.0450 0.7412 0.0362
O: 0.0639 0.3919 0.4135
O: 0.0790 0.1942 0.1745
O: 0.1415 0.6519 0.1985
O: 0.1636 0.2355 0.7186
O: 0.1942 0.0790 0.6745
O: 0.2170 0.2552 0.4818
O: 0.2355 0.1636 0.2186
O: 0.2552 0.2170 0.9818
O: 0.2588 0.9550 0.4638
O: 0.3481 0.8585 0.3015
O: 0.3511 0.5240 0.6306
O: 0.3919 0.0639 0.9135
O: 0.4376 0.5021 0.4563
O: 0.4760 0.6489 0.8694
O: 0.4979 0.5624 0.0437
O: 0.5021 0.4376 0.9563
O: 0.5240 0.3511 0.1306
O: 0.5624 0.4979 0.5437
O: 0.6081 0.9361 0.0865
O: 0.6489 0.4760 0.3694
O: 0.6519 0.1415 0.6985
O: 0.7412 0.0450 0.5362
O: 0.7448 0.7830 0.0182
O: 0.7645 0.8364 0.7814
O: 0.7830 0.7448 0.5182
O: 0.8058 0.9210 0.3255
O: 0.8364 0.7645 0.2814
O: 0.8585 0.3481 0.8015
O: 0.9210 0.8058 0.8255
O: 0.9361 0.6081 0.5865
O: 0.9550 0.2588 0.9638

Top 10 peaks for 2θ = 5–70°, most intense first:
two_theta  I/Imax
10.87  100
32.26  42
22.61  38
30.38  35
15.04  24
9.80  21
26.51  16
23.71  16
36.31  16
36.69  15